The following is a computed powder X-ray diffraction pattern of LiCuCO3F. It was derived from a DFT-relaxed cell (GGA-PBE, the Materials Project), using CuKα.

Top 10 peaks for 10 to 90 degrees two-theta, low angle first:
- d 4.440, 20.00°, I = 54
- d 4.212, 21.09°, I = 98
- d 3.687, 24.14°, I = 100
- d 2.836, 31.54°, I = 18
- d 2.774, 32.27°, I = 41
- d 2.517, 35.67°, I = 31
- d 2.106, 42.95°, I = 21
- d 1.843, 49.45°, I = 24
- d 1.829, 49.87°, I = 35
- d 1.488, 62.41°, I = 23

Crystal structure
abc: 3.6865 4.7839 8.8806
angles: 90.00 90.00 90.00
Sites, in units of the cell vectors:
Li1 0.0000 0.2434 0.0000
Li2 0.0000 0.7566 0.5000
Cu1 0.5000 0.2364 0.6386
Cu2 0.5000 0.7636 0.1386
C1 0.5000 0.2227 0.3180
C2 0.5000 0.7773 0.8180
O1 0.5000 0.0478 0.8375
O2 0.5000 0.3274 0.1843
O3 0.5000 0.3894 0.4330
O4 0.5000 0.6106 0.9330
O5 0.5000 0.6726 0.6843
O6 0.5000 0.9522 0.3375
F1 0.0000 0.0997 0.5991
F2 0.0000 0.9003 0.0991

=====

The following is a computed powder X-ray diffraction pattern of CuC9S2NF10. It was derived from a DFT-relaxed cell (GGA-PBE, the Materials Project), using CuKα.

Top 10 peaks for 10 to 90 degrees two-theta, low angle first:
- d 7.850, 11.27°, I = 55
- d 6.941, 12.75°, I = 33
- d 4.709, 18.84°, I = 17
- d 4.640, 19.13°, I = 100
- d 4.494, 19.75°, I = 20
- d 3.910, 22.74°, I = 17
- d 3.001, 29.77°, I = 19
- d 2.727, 32.84°, I = 17
- d 2.695, 33.24°, I = 35
- d 2.410, 37.31°, I = 20

Crystal structure
abc: 9.7548 9.7548 9.5659
angles: 101.46 101.46 68.04
Sites, in units of the cell vectors:
Cu1 0.0634 0.9366 0.7500
Cu2 0.9366 0.0634 0.2500
C1 0.0521 0.6266 0.6822
C2 0.1037 0.7357 0.8054
C3 0.1776 0.8224 0.2500
C4 0.2643 0.8963 0.6946
C5 0.2702 0.4382 0.1590
C6 0.2955 0.5550 0.2286
C7 0.3734 0.9479 0.8178
C8 0.4382 0.2702 0.6590
C9 0.4450 0.7045 0.2714
C10 0.5550 0.2955 0.7286
C11 0.5618 0.7298 0.3410
C12 0.6266 0.0521 0.1822
C13 0.7045 0.4450 0.7714
C14 0.7298 0.5618 0.8410
C15 0.7357 0.1037 0.3054
C16 0.8224 0.1776 0.7500
C17 0.8963 0.2643 0.1946
C18 0.9479 0.3734 0.3178
S1 0.0213 0.8164 0.2889
S2 0.1836 0.9787 0.2111
S3 0.8164 0.0213 0.7889
S4 0.9787 0.1836 0.7111
N1 0.3146 0.6854 0.2500
N2 0.6854 0.3146 0.7500
F1 0.0238 0.7580 0.9175
F2 0.0801 0.4947 0.7274
F3 0.0965 0.3135 0.3617
F4 0.1249 0.6002 0.5672
F5 0.2420 0.9762 0.5825
F6 0.2496 0.6640 0.8561
F7 0.3135 0.0965 0.8617
F8 0.3360 0.7504 0.6439
F9 0.3998 0.8751 0.9328
F10 0.4947 0.0801 0.2274
F11 0.5053 0.9199 0.7726
F12 0.6002 0.1249 0.0672
F13 0.6640 0.2496 0.3561
F14 0.6865 0.9035 0.1383
F15 0.7504 0.3360 0.1439
F16 0.7580 0.0238 0.4175
F17 0.8751 0.3998 0.4328
F18 0.9035 0.6865 0.6383
F19 0.9199 0.5053 0.2726
F20 0.9762 0.2420 0.0825